(1)
Structure and simulated powder XRD pattern of SrRu2O6 (a DFT-relaxed cell (PBE, the Materials Project); Cu Kα X-rays).

Atomic structure:
abc: 5.3083 5.3083 5.2609
angles: 90.00 90.00 120.00
Space group P-31m (No. 162)
Unique sites:
Sr  0.0000  0.0000  0.0000
Ru  0.3333  0.6667  0.5000
O  0.0000  0.3801  0.7003

Main lines, low angle first (10° ≤ 2θ ≤ 90°):
2θ (°)  intensity
16.85  28
25.74  100
33.77  39
37.97  15
42.94  21
48.74  48
55.71  22
56.13  9
60.41  14
81.18  9

=====

(2)
Structure and simulated powder XRD pattern of DyPbAu (a DFT-relaxed cell (PBE, the Materials Project); Cu Kα X-rays).

Atomic structure:
abc: 6.8486 6.8486 6.8486
angles: 90.00 90.00 90.00
Space group F-43m (No. 216)
Unique sites:
Dy  0.0000  0.0000  0.0000
Pb  0.0000  0.0000  0.5000
Au  0.2500  0.2500  0.7500

Main lines, low angle first (10° ≤ 2θ ≤ 90°):
2θ (°)  intensity
22.49  30
26.02  11
37.13  100
43.84  17
53.52  18
58.77  7
66.93  37
71.59  5
79.10  12
83.51  5

=====

(3)
Structure and simulated powder XRD pattern of Mg6CdMo (a DFT-relaxed cell (PBE, the Materials Project); Cu Kα X-rays).

Atomic structure:
abc: 4.9011 6.2043 10.7432
angles: 90.00 90.00 90.00
Space group Amm2 (No. 38)
Unique sites:
Mg  0.0000  0.0000  0.0000
Mg  0.0000  0.0000  0.4921
Mg  0.0000  0.2377  0.2375
Mg  0.5000  0.2475  0.9075
Cd  0.5000  0.0000  0.6585
Mo  0.5000  0.0000  0.1572

Main lines, low angle first (10° ≤ 2θ ≤ 90°):
2θ (°)  intensity
16.50  35
18.10  27
24.59  25
33.36  36
36.67  24
38.21  100
50.41  22
59.62  16
67.05  18
72.07  18

=====

(4)
Structure and simulated powder XRD pattern of TmGePt (a DFT-relaxed cell (PBE, the Materials Project); Cu Kα X-rays).

Atomic structure:
abc: 6.9719 4.3218 7.6316
angles: 90.00 90.00 90.00
Space group Pnma (No. 62)
Unique sites:
Tm  0.0057  0.2500  0.1981
Ge  0.1808  0.2500  0.5888
Pt  0.2094  0.7500  0.4116

Main lines, low angle first (10° ≤ 2θ ≤ 90°):
2θ (°)  intensity
26.94  27
33.87  45
34.86  36
35.10  100
40.58  24
41.18  56
41.80  39
55.53  19
67.06  22
75.91  24

=====

(5)
Structure and simulated powder XRD pattern of KBiPCO7 (a DFT-relaxed cell (PBE, the Materials Project); Cu Kα X-rays).

Atomic structure:
abc: 5.7705 7.0778 10.1071
angles: 90.00 90.60 90.00
Space group P2_1 (No. 4)
Unique sites:
K  0.2421  0.0000  0.2273
Bi  0.2172  0.8151  0.6353
P  0.2803  0.3047  0.5727
C  0.2789  0.7735  0.9110
O  0.0725  0.7815  0.8567
O  0.1642  0.2889  0.4328
O  0.1987  0.4826  0.6498
O  0.2111  0.1349  0.6621
O  0.2994  0.7607  0.0356
O  0.4527  0.8116  0.4463
O  0.4568  0.7792  0.8342

Main lines, low angle first (10° ≤ 2θ ≤ 90°):
2θ (°)  intensity
15.28  99
17.62  55
19.85  100
21.61  36
23.28  39
23.52  56
25.16  55
30.88  58
30.99  56
34.69  34